(1)
The following is a calculated powder XRD pattern of Cs3Fe2S4. It was derived from a DFT-relaxed cell (PBE, the Materials Project), using Cu Kα (λ = 1.5418 Å).
Peak positions follow from Bragg's law for the DFT cell and can differ from measured ones.

Largest 6 diffraction maxima, most intense first, 2θ = 5–70°:
- 2θ = 29.18°, I = 100
- 2θ = 20.92°, I = 99
- 2θ = 28.47°, I = 85
- 2θ = 34.98°, I = 49
- 2θ = 49.81°, I = 48
- 2θ = 32.15°, I = 46

Structure:
```
data_Cs3Fe2S4
_cell_length_a 7.630
_cell_length_b 11.138
_cell_length_c 13.116
_cell_angle_alpha 90.00
_cell_angle_beta 90.00
_cell_angle_gamma 90.00
_space_group_name_H-M_alt 'P n m a'
_space_group_IT_number 62
loop_
_space_group_symop_operation_xyz
'x,y,z'
'-x,-y,-z'
'-x+1/2,-y,z+1/2'
'x+1/2,y,-z+1/2'
'x+1/2,-y+1/2,-z+1/2'
'-x+1/2,y+1/2,z+1/2'
'-x,y+1/2,-z'
'x,-y+1/2,z'
loop_
_atom_site_label
_atom_site_fract_x
_atom_site_fract_y
_atom_site_fract_z
Cs1 0.012 0.250 0.053
Cs2 0.108 0.030 0.788
Fe1 0.009 0.628 0.507
S1 0.045 0.250 0.357
S2 0.095 0.750 0.377
S3 0.226 0.011 0.537
```



(2)
The following is a calculated powder XRD pattern of Ba3N2. It was derived from a DFT-relaxed cell (PBE, the Materials Project), using Cu Kα (λ = 1.5418 Å).
Peak positions follow from Bragg's law for the DFT cell and can differ from measured ones.

Largest 6 diffraction maxima, most intense first, 2θ = 5–70°:
- 2θ = 27.06°, I = 100
- 2θ = 25.28°, I = 84
- 2θ = 38.64°, I = 71
- 2θ = 31.84°, I = 65
- 2θ = 50.90°, I = 50
- 2θ = 54.84°, I = 40

Structure:
```
data_Ba3N2
_cell_length_a 13.182
_cell_length_b 13.182
_cell_length_c 13.182
_cell_angle_alpha 90.00
_cell_angle_beta 90.00
_cell_angle_gamma 90.00
_space_group_name_H-M_alt 'I a -3'
_space_group_IT_number 206
_space_group_name_Hall '-I 2b 2c 3'
loop_
_atom_site_label
_atom_site_fract_x
_atom_site_fract_y
_atom_site_fract_z
Ba1 0.112 0.158 0.615
N1 0.000 0.250 0.443
N2 0.250 0.250 0.250
```



(3)
The following is a calculated powder XRD pattern of KNa2IrF6. It was derived from a DFT-relaxed cell (PBE, the Materials Project), using Cu Kα (λ = 1.5418 Å).
Peak positions follow from Bragg's law for the DFT cell and can differ from measured ones.

Largest 6 diffraction maxima, most intense first, 2θ = 5–70°:
- 2θ = 19.86°, I = 100
- 2θ = 28.23°, I = 98
- 2θ = 17.18°, I = 98
- 2θ = 40.36°, I = 48
- 2θ = 33.24°, I = 44
- 2θ = 45.37°, I = 42

Structure:
```
data_KNa2IrF6
_cell_length_a 8.940
_cell_length_b 8.940
_cell_length_c 8.940
_cell_angle_alpha 90.00
_cell_angle_beta 90.00
_cell_angle_gamma 90.00
_space_group_name_H-M_alt 'F m -3 m'
_space_group_IT_number 225
_space_group_name_Hall '-F 4 2 3'
loop_
_atom_site_label
_atom_site_fract_x
_atom_site_fract_y
_atom_site_fract_z
K1 0.000 0.000 0.000
Na1 0.250 0.250 0.250
Ir1 0.000 0.000 0.500
F1 0.000 0.000 0.274
```



(4)
The following is a calculated powder XRD pattern of Na3ThB24. It was derived from a DFT-relaxed cell (PBE, the Materials Project), using Cu Kα (λ = 1.5418 Å).
Peak positions follow from Bragg's law for the DFT cell and can differ from measured ones.

Largest 6 diffraction maxima, most intense first, 2θ = 5–70°:
- 2θ = 5.31°, I = 100
- 2θ = 30.46°, I = 36
- 2θ = 10.64°, I = 25
- 2θ = 22.09°, I = 19
- 2θ = 37.53°, I = 17
- 2θ = 23.98°, I = 16

Structure:
```
data_Na3ThB24
_cell_length_a 4.147
_cell_length_b 4.147
_cell_length_c 16.634
_cell_angle_alpha 90.00
_cell_angle_beta 90.00
_cell_angle_gamma 90.00
_space_group_name_H-M_alt 'P 4/m m m'
_space_group_IT_number 123
_space_group_name_Hall '-P 4 2'
loop_
_atom_site_label
_atom_site_fract_x
_atom_site_fract_y
_atom_site_fract_z
Na1 0.000 0.000 0.000
Na2 0.000 0.000 0.239
Th1 0.000 0.000 0.500
B1 0.199 0.500 0.126
B2 0.201 0.500 0.377
B3 0.500 0.500 0.050
B4 0.500 0.500 0.201
B5 0.500 0.500 0.301
B6 0.500 0.500 0.451
```